[1]
Structure and calculated PXRD pattern of Th5Fe2Pb (a GGA-PBE-relaxed structure; Cu Kα).
No peak broadening, texture or thermal motion is included.

Principal peaks in the range 5° ≤ 2θ ≤ 70°, by angle:
| Position (°2θ) | Rel. int. |
| --- | --- |
| 26.4 | 63 |
| 30.2 | 66 |
| 32.0 | 100 |
| 34.4 | 61 |
| 36.5 | 91 |
| 41.3 | 35 |
| 52.2 | 31 |
| 53.9 | 29 |
| 56.6 | 39 |
| 65.3 | 33 |

Structure:
```
Th5Fe2Pb
1.0
-3.894 3.894 7.016
3.894 -3.894 7.016
3.894 3.894 -7.016
Th Fe Pb
10 4 2
direct
0.000 0.000 0.000 Th
0.027 0.527 0.813 Th
0.214 0.027 0.500 Th
0.286 0.786 0.813 Th
0.473 0.286 0.500 Th
0.500 0.500 0.000 Th
0.527 0.714 0.500 Th
0.714 0.214 0.187 Th
0.786 0.973 0.500 Th
0.973 0.473 0.187 Th
0.142 0.358 0.500 Fe
0.358 0.858 0.216 Fe
0.642 0.142 0.784 Fe
0.858 0.642 0.500 Fe
0.250 0.250 0.000 Pb
0.750 0.750 0.000 Pb
```

[2]
Structure and calculated PXRD pattern of In2Bi5Pb4 (a GGA-PBE-relaxed structure; Cu Kα).
No peak broadening, texture or thermal motion is included.

Principal peaks in the range 5° ≤ 2θ ≤ 70°, by angle:
| Position (°2θ) | Rel. int. |
| --- | --- |
| 28.9 | 77 |
| 29.8 | 100 |
| 30.0 | 39 |
| 30.5 | 83 |
| 31.3 | 75 |
| 33.5 | 47 |
| 36.0 | 27 |
| 36.3 | 37 |
| 38.1 | 28 |
| 43.1 | 42 |

Structure:
```
In2Bi5Pb4
1.0
5.021 -4.199 0.000
5.021 4.199 0.000
-3.983 0.000 8.569
In Bi Pb
2 5 4
direct
0.166 0.166 0.135 In
0.834 0.834 0.865 In
0.000 0.000 0.500 Bi
0.231 0.708 0.222 Bi
0.292 0.769 0.778 Bi
0.708 0.231 0.222 Bi
0.769 0.292 0.778 Bi
0.314 0.314 0.880 Pb
0.332 0.332 0.508 Pb
0.668 0.668 0.492 Pb
0.686 0.686 0.120 Pb
```

[3]
Structure and calculated PXRD pattern of Pm6CuSi3 (a GGA-PBE-relaxed structure; Cu Kα).
No peak broadening, texture or thermal motion is included.

Principal peaks in the range 5° ≤ 2θ ≤ 70°, by angle:
| Position (°2θ) | Rel. int. |
| --- | --- |
| 23.1 | 58 |
| 27.4 | 52 |
| 28.6 | 78 |
| 29.3 | 55 |
| 30.2 | 100 |
| 30.7 | 95 |
| 31.1 | 82 |
| 31.5 | 56 |
| 35.6 | 72 |
| 51.3 | 73 |

Structure:
```
Pm6CuSi3
1.0
6.351 0.000 0.000
0.000 8.250 0.000
-6.086 0.000 10.580
Pm Cu Si
12 2 6
direct
0.067 0.174 0.432 Pm
0.067 0.326 0.932 Pm
0.295 0.678 0.429 Pm
0.295 0.822 0.929 Pm
0.395 0.051 0.248 Pm
0.395 0.449 0.748 Pm
0.605 0.551 0.252 Pm
0.605 0.949 0.752 Pm
0.705 0.178 0.071 Pm
0.705 0.322 0.571 Pm
0.933 0.674 0.068 Pm
0.933 0.826 0.568 Pm
0.000 0.000 0.000 Cu
0.000 0.500 0.500 Cu
0.166 0.116 0.749 Si
0.166 0.384 0.249 Si
0.500 0.000 0.500 Si
0.500 0.500 0.000 Si
0.834 0.616 0.751 Si
0.834 0.884 0.251 Si
```

[4]
Structure and calculated PXRD pattern of NdGaCu2Pt (a GGA-PBE-relaxed structure; Cu Kα).
No peak broadening, texture or thermal motion is included.

Principal peaks in the range 5° ≤ 2θ ≤ 70°, by angle:
| Position (°2θ) | Rel. int. |
| --- | --- |
| 22.9 | 16 |
| 32.9 | 16 |
| 33.5 | 25 |
| 35.3 | 100 |
| 43.4 | 23 |
| 45.3 | 20 |
| 46.0 | 17 |
| 47.4 | 14 |
| 60.6 | 12 |
| 64.6 | 14 |

Structure:
```
NdGaCu2Pt
1.0
4.002 0.000 0.000
0.000 4.168 0.000
0.000 0.000 10.800
Nd Ga Cu Pt
2 2 4 2
direct
0.000 0.000 0.000 Nd
0.500 0.500 0.500 Nd
0.000 0.000 0.376 Ga
0.500 0.500 0.876 Ga
0.000 0.000 0.600 Cu
0.000 0.500 0.245 Cu
0.500 0.000 0.745 Cu
0.500 0.500 0.100 Cu
0.000 0.500 0.736 Pt
0.500 0.000 0.236 Pt
```

[5]
Structure and calculated PXRD pattern of Cr3Ni2Rh4 (a GGA-PBE-relaxed structure; Cu Kα).
No peak broadening, texture or thermal motion is included.

Principal peaks in the range 5° ≤ 2θ ≤ 70°, by angle:
| Position (°2θ) | Rel. int. |
| --- | --- |
| 24.7 | 13 |
| 30.8 | 7 |
| 39.2 | 9 |
| 41.0 | 63 |
| 41.1 | 65 |
| 41.8 | 62 |
| 44.6 | 100 |
| 51.1 | 32 |
| 51.2 | 33 |
| 68.1 | 26 |

Structure:
```
Cr3Ni2Rh4
1.0
6.055 -4.324 0.000
6.055 4.324 0.000
-0.797 0.000 4.467
Cr Ni Rh
6 4 8
direct
0.122 0.878 0.750 Cr
0.203 0.457 0.926 Cr
0.457 0.203 0.426 Cr
0.543 0.797 0.574 Cr
0.797 0.543 0.074 Cr
0.878 0.122 0.250 Cr
0.022 0.771 0.189 Ni
0.229 0.978 0.311 Ni
0.771 0.022 0.689 Ni
0.978 0.229 0.811 Ni
0.093 0.333 0.361 Rh
0.311 0.570 0.472 Rh
0.333 0.093 0.861 Rh
0.430 0.689 0.028 Rh
0.570 0.311 0.972 Rh
0.667 0.907 0.139 Rh
0.689 0.430 0.528 Rh
0.907 0.667 0.639 Rh
```

[6]
Structure and calculated PXRD pattern of Li3Pa6Se14 (a GGA-PBE-relaxed structure; Cu Kα).
No peak broadening, texture or thermal motion is included.

Principal peaks in the range 5° ≤ 2θ ≤ 70°, by angle:
| Position (°2θ) | Rel. int. |
| --- | --- |
| 17.9 | 100 |
| 25.1 | 100 |
| 30.7 | 49 |
| 34.0 | 89 |
| 35.3 | 74 |
| 36.3 | 89 |
| 36.8 | 49 |
| 39.9 | 87 |
| 40.5 | 83 |
| 49.9 | 57 |

Structure:
```
Li3Pa6Se14
1.0
10.165 0.000 0.000
-5.083 8.804 0.000
0.000 0.000 5.988
Li Pa Se
3 6 14
direct
0.000 0.000 0.000 Li
0.333 0.667 0.499 Li
0.667 0.333 0.363 Li
0.039 0.562 0.098 Pa
0.294 0.104 0.599 Pa
0.438 0.477 0.098 Pa
0.523 0.961 0.098 Pa
0.810 0.706 0.599 Pa
0.896 0.190 0.599 Pa
0.000 0.000 0.396 Se
0.098 0.842 0.844 Se
0.158 0.256 0.844 Se
0.176 0.411 0.343 Se
0.235 0.824 0.343 Se
0.333 0.667 0.895 Se
0.413 0.183 0.120 Se
0.515 0.434 0.614 Se
0.566 0.081 0.614 Se
0.589 0.765 0.343 Se
0.744 0.902 0.844 Se
0.769 0.587 0.120 Se
0.817 0.231 0.120 Se
0.919 0.485 0.614 Se
```